Diffraction record for PmAlGa2Rh. The powder X-ray diffraction pattern is theoretical, not measured: it uses DFT lattice parameters and positions (PBE) and Cu Kα (λ = 1.5418 Å).
Neutral-atom scattering factors, no anomalous dispersion.

Top 10 peaks for 2θ from 10° to 90°, sorted by position:
2θ/deg, Rel. int.
31.95, 201
32.33, 136
33.20, 234
34.83, 1000
42.04, 227
45.91, 176
46.10, 145
59.28, 142
64.00, 128
72.17, 120

Crystal structure
```
5
Lattice="-1.977 2.149 5.538 1.977 -2.149 5.538 1.977 2.149 -5.538" Properties=species:S:1:pos:R:3 pbc="T T T"
Pm 0.000 0.000 0.000
Al 0.000 0.000 4.201
Ga 0.000 0.000 6.752
Ga 0.000 2.149 2.824
Rh 1.977 0.000 2.691
```